For Ho5GaSb3, a GGA-PBE-relaxed structure gives the computed powder diffractogram in this record (copper Kα).
Intensities are scaled so that the largest is 100.

Atomic structure:
```
Ho5GaSb3
1.0
7.988 0.000 0.000
0.000 15.177 0.000
0.000 0.000 8.013
Ho Ga Sb
20 4 12
direct
0.058 0.113 0.180
0.058 0.387 0.180
0.105 0.621 0.348
0.105 0.879 0.348
0.224 0.250 0.491
0.276 0.750 0.991
0.395 0.121 0.848
0.395 0.379 0.848
0.442 0.613 0.680
0.442 0.887 0.680
0.558 0.113 0.320
0.558 0.387 0.320
0.605 0.621 0.152
0.605 0.879 0.152
0.724 0.250 0.009
0.776 0.750 0.509
0.895 0.121 0.652
0.895 0.379 0.652
0.942 0.613 0.820
0.942 0.887 0.820
0.133 0.750 0.645
0.367 0.250 0.145
0.633 0.750 0.855
0.867 0.250 0.355
0.094 0.250 0.877
0.239 0.045 0.524
0.239 0.455 0.524
0.261 0.545 0.024
0.261 0.955 0.024
0.406 0.750 0.377
0.594 0.250 0.623
0.739 0.045 0.976
0.739 0.455 0.976
0.761 0.545 0.476
0.761 0.955 0.476
0.906 0.750 0.123
```

Main lines, low angle first (10° ≤ 2θ ≤ 90°):
24.9°, 3.575 Å, rel. 24, (2 0 1); 25.6°, 3.485 Å, rel. 15, (1 1 2); 30.6°, 2.922 Å, rel. 95, (1 3 2); 31.6°, 2.828 Å, rel. 41, (2 0 2); 32.5°, 2.753 Å, rel. 70, (0 4 2); 33.5°, 2.675 Å, rel. 37, (1 5 1); 34.5°, 2.602 Å, rel. 71, (2 4 1); 35.5°, 2.529 Å, rel. 25, (0 6 0); 36.0°, 2.495 Å, rel. 100, (1 1 3); 38.9°, 2.315 Å, rel. 23, (1 5 2); 46.7°, 1.943 Å, rel. 18, (3 5 1); 65.6°, 1.423 Å, rel. 20, (3 7 3)